(1)
This entry pairs a crystal structure of PBr2N with its simulated X-ray diffraction stick pattern. Radiation: a wavelength of 1.5418 Å. Structure: a structure optimized by DFT (GGA-PBE).
Intensities are scaled so that the largest is 100.

Cell: 15.246 14.310 7.016 Å, 90.00 90.00 90.00°
Fractional coordinates of all 48 atoms:
P: 0.056 0.250 0.080
P: 0.089 0.653 0.057
P: 0.089 0.847 0.057
P: 0.411 0.153 0.557
P: 0.411 0.347 0.557
P: 0.444 0.750 0.580
P: 0.556 0.250 0.420
P: 0.589 0.653 0.443
P: 0.589 0.847 0.443
P: 0.911 0.153 0.943
P: 0.911 0.347 0.943
P: 0.944 0.750 0.920
Br: 0.081 0.578 0.332
Br: 0.081 0.922 0.332
Br: 0.102 0.250 0.376
Br: 0.176 0.562 0.889
Br: 0.176 0.938 0.889
Br: 0.180 0.250 0.917
Br: 0.320 0.750 0.417
Br: 0.324 0.062 0.389
Br: 0.324 0.438 0.389
Br: 0.398 0.750 0.876
Br: 0.419 0.078 0.832
Br: 0.419 0.422 0.832
Br: 0.581 0.578 0.168
Br: 0.581 0.922 0.168
Br: 0.602 0.250 0.124
Br: 0.676 0.562 0.611
Br: 0.676 0.938 0.611
Br: 0.680 0.250 0.583
Br: 0.820 0.750 0.083
Br: 0.824 0.062 0.111
Br: 0.824 0.438 0.111
Br: 0.898 0.750 0.624
Br: 0.919 0.078 0.668
Br: 0.919 0.422 0.668
N: 0.005 0.154 0.040
N: 0.005 0.346 0.040
N: 0.139 0.750 0.092
N: 0.361 0.250 0.592
N: 0.495 0.654 0.540
N: 0.495 0.846 0.540
N: 0.505 0.154 0.460
N: 0.505 0.346 0.460
N: 0.639 0.750 0.408
N: 0.861 0.250 0.908
N: 0.995 0.654 0.960
N: 0.995 0.846 0.960

The 10 most intense peaks (2θ from 5° to 70°), sorted by position:
2θ = 13.89°, rel. 13
2θ = 21.98°, rel. 100
2θ = 23.32°, rel. 22
2θ = 25.42°, rel. 29
2θ = 26.06°, rel. 30
2θ = 26.61°, rel. 38
2θ = 32.21°, rel. 29
2θ = 36.37°, rel. 22
2θ = 42.31°, rel. 24
2θ = 47.69°, rel. 15


(2)
This entry pairs a crystal structure of SmSbS with its simulated X-ray diffraction stick pattern. Radiation: a wavelength of 1.5418 Å. Structure: a structure optimized by DFT (GGA-PBE).
Intensities are scaled so that the largest is 100.

Cell: 4.128 17.679 5.849 Å, 90.00 134.89 90.00°
Fractional coordinates of all 12 atoms:
Sm: 0.025 0.154 0.277
Sm: 0.025 0.346 0.777
Sm: 0.975 0.654 0.223
Sm: 0.975 0.846 0.723
Sb: 0.492 0.501 0.742
Sb: 0.492 0.999 0.242
Sb: 0.508 0.001 0.758
Sb: 0.508 0.499 0.258
S: 0.029 0.186 0.779
S: 0.029 0.314 0.279
S: 0.971 0.686 0.721
S: 0.971 0.814 0.221

The 10 most intense peaks (2θ from 5° to 70°), sorted by position:
2θ = 23.75°, rel. 74
2θ = 30.34°, rel. 59
2θ = 32.24°, rel. 100
2θ = 36.85°, rel. 98
2θ = 43.69°, rel. 25
2θ = 43.86°, rel. 25
2θ = 46.60°, rel. 20
2θ = 54.11°, rel. 21
2θ = 54.26°, rel. 22
2θ = 61.28°, rel. 27


(3)
This entry pairs a crystal structure of YErAl6 with its simulated X-ray diffraction stick pattern. Radiation: a wavelength of 1.5418 Å. Structure: a structure optimized by DFT (GGA-PBE).
Intensities are scaled so that the largest is 100.

Cell: 14.416 14.416 14.416 Å, 25.02 25.02 25.02°
Fractional coordinates of all 24 atoms:
Y: 0.000 0.000 0.000
Y: 0.217 0.217 0.217
Y: 0.500 0.500 0.500
Er: 0.109 0.109 0.109
Er: 0.609 0.609 0.609
Er: 0.717 0.717 0.717
Al: 0.038 0.477 0.477
Al: 0.106 0.609 0.609
Al: 0.109 0.109 0.608
Al: 0.109 0.608 0.109
Al: 0.178 0.741 0.741
Al: 0.241 0.241 0.679
Al: 0.241 0.679 0.241
Al: 0.477 0.038 0.477
Al: 0.477 0.477 0.038
Al: 0.539 0.976 0.976
Al: 0.608 0.109 0.109
Al: 0.609 0.106 0.609
Al: 0.609 0.609 0.106
Al: 0.679 0.241 0.241
Al: 0.741 0.178 0.741
Al: 0.741 0.741 0.178
Al: 0.976 0.539 0.976
Al: 0.976 0.976 0.539

The 10 most intense peaks (2θ from 5° to 70°), sorted by position:
2θ = 16.93°, rel. 57
2θ = 23.66°, rel. 86
2θ = 26.93°, rel. 82
2θ = 28.59°, rel. 75
2θ = 33.42°, rel. 52
2θ = 37.44°, rel. 100
2θ = 38.70°, rel. 50
2θ = 39.68°, rel. 96
2θ = 48.82°, rel. 33
2θ = 59.19°, rel. 35


(4)
This entry pairs a crystal structure of NaCa2Al2P2H5O11F4 with its simulated X-ray diffraction stick pattern. Radiation: a wavelength of 1.5418 Å. Structure: a structure optimized by DFT (GGA-PBE).
Intensities are scaled so that the largest is 100.

Cell: 5.531 10.789 9.585 Å, 90.00 105.55 90.00°
Fractional coordinates of all 54 atoms:
Na: 0.207 0.250 0.186
Na: 0.793 0.750 0.814
Ca: 0.238 0.584 0.643
Ca: 0.238 0.916 0.643
Ca: 0.762 0.084 0.357
Ca: 0.762 0.416 0.357
Al: 0.228 0.595 0.242
Al: 0.228 0.905 0.242
Al: 0.772 0.095 0.758
Al: 0.772 0.405 0.758
P: 0.358 0.750 0.991
P: 0.372 0.250 0.544
P: 0.628 0.750 0.456
P: 0.642 0.250 0.009
H: 0.019 0.750 0.348
H: 0.173 0.519 0.937
H: 0.173 0.981 0.937
H: 0.226 0.122 0.891
H: 0.226 0.378 0.891
H: 0.774 0.622 0.109
H: 0.774 0.878 0.109
H: 0.827 0.019 0.063
H: 0.827 0.481 0.063
H: 0.981 0.250 0.652
O: 0.087 0.250 0.472
O: 0.102 0.750 0.269
O: 0.130 0.042 0.854
O: 0.130 0.458 0.854
O: 0.238 0.750 0.825
O: 0.261 0.633 0.056
O: 0.261 0.867 0.056
O: 0.354 0.250 0.970
O: 0.443 0.132 0.644
O: 0.443 0.368 0.644
O: 0.476 0.750 0.571
O: 0.524 0.250 0.429
O: 0.557 0.632 0.356
O: 0.557 0.868 0.356
O: 0.646 0.750 0.030
O: 0.739 0.133 0.944
O: 0.739 0.367 0.944
O: 0.762 0.250 0.175
O: 0.870 0.542 0.146
O: 0.870 0.958 0.146
O: 0.898 0.250 0.731
O: 0.913 0.750 0.528
F: 0.142 0.533 0.404
F: 0.142 0.967 0.404
F: 0.344 0.058 0.217
F: 0.344 0.442 0.217
F: 0.656 0.558 0.783
F: 0.656 0.942 0.783
F: 0.858 0.033 0.596
F: 0.858 0.467 0.596

The 10 most intense peaks (2θ from 5° to 70°), sorted by position:
2θ = 18.57°, rel. 70
2θ = 25.39°, rel. 96
2θ = 29.36°, rel. 78
2θ = 29.98°, rel. 92
2θ = 30.09°, rel. 71
2θ = 30.54°, rel. 86
2θ = 33.64°, rel. 70
2θ = 40.10°, rel. 54
2θ = 42.57°, rel. 53
2θ = 50.74°, rel. 100


(5)
This entry pairs a crystal structure of TlZn3 with its simulated X-ray diffraction stick pattern. Radiation: a wavelength of 1.5418 Å. Structure: a structure optimized by DFT (GGA-PBE).
Intensities are scaled so that the largest is 100.

Cell: 4.311 4.311 4.311 Å, 90.00 90.00 90.00°
Fractional coordinates of all 4 atoms:
Tl: 0.000 0.000 0.000
Zn: 0.000 0.500 0.500
Zn: 0.500 0.000 0.500
Zn: 0.500 0.500 0.000

The 9 most intense peaks (2θ from 5° to 70°), sorted by position:
2θ = 20.60°, rel. 28
2θ = 29.30°, rel. 24
2θ = 36.08°, rel. 100
2θ = 41.91°, rel. 49
2θ = 47.14°, rel. 14
2θ = 51.95°, rel. 11
2θ = 60.76°, rel. 32
2θ = 64.88°, rel. 7
2θ = 68.87°, rel. 5